Entry 1:
For NaTlO, a structure optimized by DFT (PBE) gives the calculated XRD peak list in this record (Cu Kα).
No peak broadening, texture or thermal motion is included.

```
data_NaTlO
_space_group_name_H-M_alt 'P 1 m 1'
_space_group_IT_number 6
_cell_length_a 6.143
_cell_length_b 3.649
_cell_length_c 12.802
_cell_angle_alpha 90.00
_cell_angle_beta 90.05
_cell_angle_gamma 90.00
loop_
_space_group_symop_operation_xyz
'x,y,z'
'x,-y,z'
loop_
_atom_site_label
_atom_site_fract_x
_atom_site_fract_y
_atom_site_fract_z
Na1 0.000 0.000 0.000
Na2 0.007 0.000 0.326
Na3 0.510 0.500 0.005
Na4 0.838 0.500 0.841
Tl1 0.337 0.000 0.527
Tl2 0.338 0.000 0.821
Tl3 0.502 0.500 0.294
Tl4 0.843 0.500 0.524
O1 0.171 0.500 0.936
O2 0.173 0.500 0.398
O3 0.664 0.000 0.922
O4 0.675 0.000 0.406
```

Top 10 peaks for 2θ = 5–70°, in order of rising 2θ:
- hkl 0 0 1, d 12.802, 6.90 deg, I = 100
- hkl 0 0 2, d 6.401, 13.83 deg, I = 20
- hkl 1 0 0, d 6.143, 14.42 deg, I = 20
- hkl 1 0 2, d 4.432, 20.04 deg, I = 20
- hkl 0 0 4, d 3.200, 27.88 deg, I = 24
- hkl 1 1 0, d 3.137, 28.45 deg, I = 21
- hkl 1 1 -1, d 3.047, 29.31 deg, I = 44
- hkl 2 0 1, d 2.987, 29.92 deg, I = 21
- hkl 1 1 3, d 2.528, 35.52 deg, I = 55
- hkl 2 0 -3, d 2.493, 36.02 deg, I = 26

***

Entry 2:
For NaUO3, a structure optimized by DFT (PBE) gives the calculated XRD peak list in this record (Cu Kα).
No peak broadening, texture or thermal motion is included.

```
data_NaUO3
_space_group_name_H-M_alt 'P n m a'
_space_group_IT_number 62
_cell_length_a 5.963
_cell_length_b 8.347
_cell_length_c 5.824
_cell_angle_alpha 90.00
_cell_angle_beta 90.00
_cell_angle_gamma 90.00
loop_
_space_group_symop_operation_xyz
'x,y,z'
'-x,-y,-z'
'-x+1/2,-y,z+1/2'
'x+1/2,y,-z+1/2'
'x+1/2,-y+1/2,-z+1/2'
'-x+1/2,y+1/2,z+1/2'
'-x,y+1/2,-z'
'x,-y+1/2,z'
loop_
_atom_site_label
_atom_site_fract_x
_atom_site_fract_y
_atom_site_fract_z
Na1 0.030 0.250 0.007
U1 0.000 0.000 0.500
O1 0.030 0.750 0.406
O2 0.203 0.549 0.799
```

Top 10 peaks for 2θ = 5–70°, in order of rising 2θ:
- hkl 1 0 1, d 4.169, 21.31 deg, I = 100
- hkl 2 0 0, d 2.982, 29.97 deg, I = 18
- hkl 1 2 1, d 2.949, 30.31 deg, I = 69
- hkl 0 0 2, d 2.912, 30.70 deg, I = 16
- hkl 0 2 2, d 2.388, 37.66 deg, I = 11
- hkl 0 4 0, d 2.084, 43.41 deg, I = 27
- hkl 2 2 2, d 1.865, 48.84 deg, I = 32
- hkl 3 2 1, d 1.715, 53.43 deg, I = 16
- hkl 1 2 3, d 1.688, 54.34 deg, I = 17
- hkl 2 4 2, d 1.474, 63.05 deg, I = 11

***

Entry 3:
For Na2UO4, a structure optimized by DFT (PBE) gives the calculated XRD peak list in this record (Cu Kα).
No peak broadening, texture or thermal motion is included.

```
data_Na2UO4
_space_group_name_H-M_alt 'P c c n'
_space_group_IT_number 56
_cell_length_a 5.978
_cell_length_b 12.203
_cell_length_c 5.929
_cell_angle_alpha 90.00
_cell_angle_beta 90.00
_cell_angle_gamma 90.00
loop_
_space_group_symop_operation_xyz
'x,y,z'
'-x,-y,-z'
'-x+1/2,-y+1/2,z'
'x+1/2,y+1/2,-z'
'x+1/2,-y,-z+1/2'
'-x+1/2,y,z+1/2'
'-x,y+1/2,-z+1/2'
'x,-y+1/2,z+1/2'
loop_
_atom_site_label
_atom_site_fract_x
_atom_site_fract_y
_atom_site_fract_z
Na1 0.029 0.157 0.027
U1 0.000 0.000 0.500
O1 0.069 0.155 0.473
O2 0.189 0.528 0.692
```

Top 10 peaks for 2θ = 5–70°, in order of rising 2θ:
- hkl 0 2 0, d 6.101, 14.52 deg, I = 76
- hkl 1 1 1, d 3.979, 22.34 deg, I = 100
- hkl 2 0 0, d 2.989, 29.90 deg, I = 20
- hkl 0 0 2, d 2.965, 30.15 deg, I = 21
- hkl 1 3 1, d 2.925, 30.56 deg, I = 59
- hkl 1 5 1, d 2.111, 42.83 deg, I = 20
- hkl 2 0 2, d 2.105, 42.97 deg, I = 19
- hkl 2 2 2, d 1.990, 45.59 deg, I = 17
- hkl 1 1 3, d 1.855, 49.12 deg, I = 15
- hkl 3 3 1, d 1.713, 53.49 deg, I = 16

***

Entry 4:
For Na2UO4, a structure optimized by DFT (PBE) gives the calculated XRD peak list in this record (Cu Kα).
No peak broadening, texture or thermal motion is included.

```
data_Na2UO4
_space_group_name_H-M_alt 'C m m m'
_space_group_IT_number 65
_space_group_name_Hall '-C 2 2'
_cell_length_a 6.762
_cell_length_b 9.995
_cell_length_c 3.501
_cell_angle_alpha 90.00
_cell_angle_beta 90.00
_cell_angle_gamma 90.00
loop_
_atom_site_label
_atom_site_fract_x
_atom_site_fract_y
_atom_site_fract_z
Na1 0.250 0.250 0.000
U1 0.000 0.000 0.500
O1 0.000 0.196 0.500
O2 0.192 0.000 0.000
```

Top 10 peaks for 2θ = 5–70°, in order of rising 2θ:
- hkl 1 1 0, d 5.601, 15.82 deg, I = 100
- hkl 0 2 0, d 4.997, 17.75 deg, I = 20
- hkl 1 3 0, d 2.989, 29.90 deg, I = 15
- hkl 1 1 1, d 2.969, 30.10 deg, I = 35
- hkl 0 2 1, d 2.867, 31.19 deg, I = 15
- hkl 2 2 0, d 2.800, 31.96 deg, I = 15
- hkl 2 0 1, d 2.432, 36.96 deg, I = 22
- hkl 1 3 1, d 2.273, 39.65 deg, I = 12
- hkl 3 1 1, d 1.862, 48.91 deg, I = 13
- hkl 2 4 1, d 1.743, 52.51 deg, I = 14

***

Entry 5:
For Na2UO4, a structure optimized by DFT (PBE) gives the calculated XRD peak list in this record (Cu Kα).
No peak broadening, texture or thermal motion is included.

```
data_Na2UO4
_space_group_name_H-M_alt 'P b a m'
_space_group_IT_number 55
_cell_length_a 5.768
_cell_length_b 9.910
_cell_length_c 3.526
_cell_angle_alpha 90.00
_cell_angle_beta 90.00
_cell_angle_gamma 90.00
loop_
_space_group_symop_operation_xyz
'x,y,z'
'-x,-y,-z'
'-x,-y,z'
'x,y,-z'
'x+1/2,-y+1/2,-z'
'-x+1/2,y+1/2,z'
'-x+1/2,y+1/2,-z'
'x+1/2,-y+1/2,z'
loop_
_atom_site_label
_atom_site_fract_x
_atom_site_fract_y
_atom_site_fract_z
Na1 0.057 0.183 0.000
U1 0.000 0.500 0.500
O1 0.145 0.677 0.500
O2 0.209 0.447 0.000
```

Top 10 peaks for 2θ = 5–70°, in order of rising 2θ:
- hkl 1 1 0, d 4.985, 17.79 deg, I = 100
- hkl 0 2 0, d 4.955, 17.90 deg, I = 38
- hkl 0 0 1, d 3.526, 25.26 deg, I = 13
- hkl 1 1 1, d 2.879, 31.06 deg, I = 76
- hkl 1 3 0, d 2.869, 31.18 deg, I = 56
- hkl 1 3 1, d 2.224, 40.56 deg, I = 13
- hkl 2 2 1, d 2.035, 44.52 deg, I = 30
- hkl 3 3 0, d 1.663, 55.25 deg, I = 30
- hkl 2 4 1, d 1.659, 55.38 deg, I = 16
- hkl 1 5 1, d 1.655, 55.53 deg, I = 16

***

Entry 6:
For Na5U5O18, a structure optimized by DFT (PBE) gives the calculated XRD peak list in this record (Cu Kα).
No peak broadening, texture or thermal motion is included.

```
data_Na5U5O18
_space_group_name_H-M_alt 'C 1 c 1'
_space_group_IT_number 9
_cell_length_a 12.434
_cell_length_b 19.826
_cell_length_c 6.895
_cell_angle_alpha 90.00
_cell_angle_beta 101.03
_cell_angle_gamma 90.00
loop_
_space_group_symop_operation_xyz
'x,y,z'
'x,-y,z+1/2'
'x+1/2,y+1/2,z'
'x+1/2,-y+1/2,z+1/2'
loop_
_atom_site_label
_atom_site_fract_x
_atom_site_fract_y
_atom_site_fract_z
Na1 0.000 0.051 0.000
Na2 0.001 0.250 0.004
Na3 0.001 0.360 0.507
Na4 0.001 0.444 0.007
Na5 0.010 0.144 0.483
U1 0.245 0.347 0.287
U2 0.249 0.456 0.750
U3 0.251 0.250 0.757
U4 0.252 0.044 0.764
U5 0.256 0.153 0.227
O1 0.090 0.347 0.232
O2 0.095 0.463 0.691
O3 0.097 0.050 0.706
O4 0.098 0.235 0.696
O5 0.102 0.154 0.181
O6 0.227 0.351 0.640
O7 0.240 0.050 0.087
O8 0.240 0.264 0.068
O9 0.241 0.420 0.045
O10 0.260 0.081 0.469
O11 0.261 0.451 0.427
O12 0.262 0.236 0.445
O13 0.275 0.149 0.875
O14 0.399 0.346 0.339
O15 0.405 0.264 0.815
O16 0.405 0.450 0.805
O17 0.406 0.036 0.824
O18 0.412 0.153 0.281
```

Top 10 peaks for 2θ = 5–70°, in order of rising 2θ:
- hkl 2 0 0, d 6.102, 14.52 deg, I = 100
- hkl 1 5 -1, d 3.382, 26.36 deg, I = 72
- hkl 2 0 -2, d 3.233, 27.59 deg, I = 28
- hkl 1 5 1, d 3.214, 27.75 deg, I = 58
- hkl 4 0 0, d 3.051, 29.27 deg, I = 27
- hkl 3 5 -1, d 2.750, 32.56 deg, I = 39
- hkl 1 5 -3, d 1.989, 45.62 deg, I = 19
- hkl 5 5 1, d 1.902, 47.82 deg, I = 15
- hkl 2 10 0, d 1.886, 48.24 deg, I = 17
- hkl 3 5 3, d 1.662, 55.27 deg, I = 16

***

Entry 7:
For Na2UO4, a structure optimized by DFT (PBE) gives the calculated XRD peak list in this record (Cu Kα).
No peak broadening, texture or thermal motion is included.

```
data_Na2UO4
_space_group_name_H-M_alt 'I 4/m m m'
_space_group_IT_number 139
_space_group_name_Hall '-I 4 2'
_cell_length_a 4.351
_cell_length_b 4.351
_cell_length_c 11.883
_cell_angle_alpha 90.00
_cell_angle_beta 90.00
_cell_angle_gamma 90.00
loop_
_atom_site_label
_atom_site_fract_x
_atom_site_fract_y
_atom_site_fract_z
Na1 0.000 0.000 0.147
U1 0.000 0.000 0.500
O1 0.000 0.000 0.338
O2 0.000 0.500 0.000
```

Top 10 peaks for 2θ = 5–70°, in order of rising 2θ:
- hkl 0 0 2, d 5.941, 14.91 deg, I = 69
- hkl 1 0 1, d 4.085, 21.75 deg, I = 100
- hkl 1 1 0, d 3.076, 29.03 deg, I = 41
- hkl 1 0 3, d 2.929, 30.52 deg, I = 54
- hkl 1 1 2, d 2.732, 32.78 deg, I = 21
- hkl 2 0 0, d 2.175, 41.51 deg, I = 24
- hkl 1 0 5, d 2.086, 43.39 deg, I = 22
- hkl 2 0 2, d 2.043, 44.35 deg, I = 18
- hkl 2 1 1, d 1.920, 47.35 deg, I = 26
- hkl 2 1 3, d 1.746, 52.39 deg, I = 25

***

Entry 8:
For NaU3O8, a structure optimized by DFT (PBE) gives the calculated XRD peak list in this record (Cu Kα).
No peak broadening, texture or thermal motion is included.

```
data_NaU3O8
_space_group_name_H-M_alt 'P -6 2 m'
_space_group_IT_number 189
_space_group_name_Hall 'P -6 -2'
_cell_length_a 6.9308
_cell_length_b 6.9308
_cell_length_c 4.2294
_cell_angle_alpha 90.00
_cell_angle_beta 90.00
_cell_angle_gamma 120.00
loop_
_atom_site_label
_atom_site_fract_x
_atom_site_fract_y
_atom_site_fract_z
Na1 0.0000 0.0000 0.0000
U1 0.0000 0.3611 0.5000
O1 0.0000 0.3488 0.0000
O2 0.0000 0.7623 0.5000
O3 0.3333 0.6667 0.5000
```

Top 10 peaks for 2θ = 5–70°, in order of rising 2θ:
- hkl 0 0 1, d 4.229, 21.00 deg, I = 57
- hkl 1 1 0, d 3.465, 25.71 deg, I = 100
- hkl 1 1 1, d 2.681, 33.43 deg, I = 78
- hkl 0 0 2, d 2.115, 42.76 deg, I = 13
- hkl 3 0 0, d 2.000, 45.33 deg, I = 34
- hkl 3 0 1, d 1.809, 50.46 deg, I = 26
- hkl 1 1 2, d 1.805, 50.56 deg, I = 32
- hkl 2 2 0, d 1.733, 52.84 deg, I = 13
- hkl 2 2 1, d 1.603, 57.48 deg, I = 17
- hkl 3 0 2, d 1.453, 64.07 deg, I = 19